1.
# Li3Fe2Co3O10
Computed X-ray diffraction stick pattern, Cu Kα. Input: the PBE+U geometry in the Materials Project.
Intensities are scaled so that the largest is 100.

The 6 most intense peaks (10° ≤ 2θ ≤ 90°), by angle:
hkl 1 0 -2, 18.06°, d 4.911, rel. 100
hkl 1 0 8, 36.31°, d 2.474, rel. 10
hkl 0 1 5, 36.72°, d 2.447, rel. 23
hkl 2 0 6, 42.93°, d 2.107, rel. 18
hkl 1 1 -7, 44.35°, d 2.043, rel. 35
hkl 0 2 0, 64.83°, d 1.438, rel. 13

Structural model:
```
36
Lattice="5.258 0.000 0.000 0.000 2.877 0.000 -1.603 0.000 23.284" Properties=species:S:1:pos:R:3 pbc="T T T"
Li 0.000 0.000 0.000
Li -0.761 1.438 11.614
Li 1.622 0.000 4.323
Li 0.867 1.438 15.888
Li 3.244 0.000 8.700
Li 2.487 1.438 20.382
Fe -0.884 1.438 18.223
Fe 0.913 1.438 22.937
Fe 3.346 0.000 2.050
Fe 4.306 1.438 4.440
Co -0.036 0.000 6.786
Co -0.054 0.000 20.600
Co 0.768 1.438 9.090
Co 1.740 0.000 11.317
Co 2.607 1.438 13.611
Co 3.469 0.000 15.882
O -0.751 1.438 21.662
O 0.165 0.000 10.249
O -0.231 0.000 16.970
O 0.656 1.438 5.743
O 1.795 0.000 0.749
O 1.366 0.000 8.009
O 0.632 1.438 19.560
O 1.146 1.438 12.386
O 2.665 1.438 3.300
O 1.983 0.000 14.747
O 1.521 0.000 21.622
O 2.355 1.438 10.189
O 2.799 1.438 16.931
O 3.242 0.000 12.479
O 3.745 0.000 5.671
O 4.116 1.438 0.820
O 3.680 0.000 19.476
O 4.532 1.438 7.898
O 4.090 1.438 14.821
O 5.009 0.000 3.355
```

***

2.
# LiMnH6O7
Computed X-ray diffraction stick pattern, Cu Kα. Input: the PBE+U geometry in the Materials Project.
Intensities are scaled so that the largest is 100.

The 6 most intense peaks (10° ≤ 2θ ≤ 90°), by angle:
hkl 1 0 0, 13.16°, d 6.729, rel. 24
hkl 1 0 1, 20.53°, d 4.327, rel. 100
hkl 1 1 0, 22.89°, d 3.885, rel. 55
hkl 2 0 1, 30.93°, d 2.891, rel. 82
hkl 0 0 2, 31.67°, d 2.825, rel. 32
hkl 2 1 0, 35.29°, d 2.543, rel. 27

Structural model:
```
30
Lattice="7.770 0.000 0.000 -3.885 6.729 0.000 0.000 0.000 5.650" Properties=species:S:1:pos:R:3 pbc="T T T"
Li 0.000 0.000 0.000
Li 0.000 0.000 2.825
Mn 0.000 4.486 1.599
Mn 3.885 2.243 4.424
H -0.782 2.231 4.172
H -2.344 4.936 4.172
H 0.782 2.231 4.172
H -1.562 6.291 4.172
H 2.323 0.439 1.347
H 1.541 1.793 1.347
H 2.344 4.936 4.172
H 1.562 6.291 4.172
H 5.447 0.439 1.347
H 3.103 4.498 1.347
H 6.229 1.793 1.347
H 4.667 4.498 1.347
O -1.330 3.718 1.072
O 0.000 1.638 4.235
O -2.466 5.910 4.235
O 1.419 0.819 1.410
O 0.000 4.486 3.207
O 1.330 3.718 1.072
O 0.000 6.022 1.072
O 3.885 0.708 3.897
O 2.555 3.011 3.897
O 3.885 2.243 0.382
O 2.466 5.910 4.235
O 6.351 0.819 1.410
O 3.885 5.091 1.410
O 5.215 3.011 3.897
```

***

3.
# Li4Mn3P4O16
Computed X-ray diffraction stick pattern, Cu Kα. Input: the PBE+U geometry in the Materials Project.
Intensities are scaled so that the largest is 100.

The 6 most intense peaks (10° ≤ 2θ ≤ 90°), by angle:
hkl 1 1 0, 20.33°, d 4.368, rel. 100
hkl 1 -1 2, 22.75°, d 3.908, rel. 54
hkl 1 1 1, 25.19°, d 3.536, rel. 44
hkl 2 -2 0, 30.16°, d 2.963, rel. 65
hkl 0 2 2, 35.23°, d 2.548, rel. 53
hkl 2 0 2, 35.36°, d 2.539, rel. 28

Structural model:
```
54
Lattice="7.592 0.000 0.000 -1.576 7.516 0.000 -2.975 -3.735 10.397" Properties=species:S:1:pos:R:3 pbc="T T T"
Li 0.000 0.000 0.000
Li -2.639 -0.844 8.052
Li -0.966 3.776 5.416
Li -0.206 0.153 10.304
Li 1.365 1.890 5.399
Li 0.321 2.889 8.132
Li 2.279 -1.830 10.364
Li 3.816 -0.092 5.352
Mn 2.513 0.861 2.348
Mn 1.104 -0.962 7.556
Mn 1.706 4.624 2.953
Mn 5.516 4.667 2.378
Mn 4.055 2.808 7.609
Mn 6.280 0.839 2.992
P 0.030 2.506 1.039
P -1.062 1.198 6.246
P 0.775 -1.263 4.286
P -0.154 -2.447 9.410
P 3.030 6.289 1.021
P 1.974 4.892 6.203
P 3.794 2.471 4.260
P 2.862 1.278 9.433
O 4.315 -1.602 9.991
O -2.042 0.056 6.284
O -0.541 -1.014 3.449
O -0.679 1.642 4.769
O 0.533 1.177 1.760
O -1.611 2.526 6.914
O -2.741 3.953 9.317
O -0.297 4.964 3.483
O 0.461 -1.730 5.703
O 1.031 3.651 1.203
O -0.589 -1.119 8.638
O 0.331 0.918 6.921
O 1.734 -0.078 4.207
O 3.171 1.709 0.462
O 1.703 6.533 1.837
O 1.221 -2.692 8.667
O -0.189 2.181 9.974
O 0.979 3.728 6.207
O 2.441 2.718 3.466
O 2.287 5.378 4.749
O 2.981 -1.307 6.910
O 3.556 4.981 1.777
O 1.900 0.083 9.337
O 4.285 1.163 3.493
O 3.399 2.010 5.674
O 5.575 -0.023 1.179
O 2.363 2.595 8.681
O 3.299 4.580 6.956
O 4.787 3.602 4.159
O 6.105 5.429 0.483
O 6.253 2.759 1.799
O 4.177 1.067 8.595
```

***

4.
# MgMn4O4F4
Computed X-ray diffraction stick pattern, Cu Kα. Input: the PBE+U geometry in the Materials Project.
Intensities are scaled so that the largest is 100.

The 6 most intense peaks (10° ≤ 2θ ≤ 90°), by angle:
hkl 1 1 1, 25.61°, d 3.478, rel. 100
hkl -1 1 1, 28.60°, d 3.121, rel. 80
hkl 1 1 -1, 29.35°, d 3.043, rel. 87
hkl 1 -1 1, 30.79°, d 2.904, rel. 46
hkl 1 -1 2, 41.18°, d 2.192, rel. 57
hkl 2 2 0, 47.47°, d 1.915, rel. 57

Structural model:
```
13
Lattice="5.175 0.000 0.000 0.566 5.200 0.000 0.331 0.985 6.065" Properties=species:S:1:pos:R:3 pbc="T T T"
Mg 0.000 0.000 0.000
Mn 0.506 0.772 2.702
Mn 3.033 3.172 1.469
Mn 3.023 0.933 4.404
Mn 5.467 3.561 4.711
O 1.660 4.622 1.548
O 2.126 1.823 2.901
O 4.428 5.017 5.814
O 4.736 1.769 4.167
F 1.914 4.995 4.667
F 1.844 2.355 5.639
F 4.586 4.608 3.013
F 4.459 1.563 1.074
```